Record 1
TlInTe2: computed PXRD pattern (CuKα), based on a PBE-relaxed structure.
Kinematic intensities with the Lorentz-polarization factor, no thermal factor.

Crystal structure
a = 8.6985 Å, b = 8.6985 Å, c = 7.3317 Å
α = 90.00°, β = 90.00°, γ = 90.00°
Space group I4/mcm (No. 140)
Asymmetric unit:
1 Tl 0.0000 0.0000 0.2500 [4 per cell]
2 In 0.0000 0.5000 0.2500 [4 per cell]
3 Te 0.1791 0.3209 0.0000 [8 per cell]

Principal peaks in the range 15 to 90 degrees two-theta, by angle:
20.42 deg, I = 170, hkl 2 0 0
25.93 deg, I = 467, hkl 2 1 1
29.03 deg, I = 493, hkl 2 2 0
31.93 deg, I = 1000, hkl 2 0 2
32.55 deg, I = 147, hkl 3 1 0
44.70 deg, I = 168, hkl 4 1 1
46.70 deg, I = 190, hkl 4 2 0
48.68 deg, I = 187, hkl 4 0 2
53.32 deg, I = 175, hkl 4 2 2
73.55 deg, I = 167, hkl 6 2 2

Record 2
ThIn3: computed PXRD pattern (CuKα), based on a PBE-relaxed structure.
Kinematic intensities with the Lorentz-polarization factor, no thermal factor.

Crystal structure
a = 4.7499 Å, b = 4.7499 Å, c = 4.7499 Å
α = 90.00°, β = 90.00°, γ = 90.00°
Space group Pm-3m (No. 221)
Asymmetric unit:
1 Th 0.0000 0.0000 0.0000 [1 per cell]
2 In 0.0000 0.5000 0.5000 [3 per cell]

Principal peaks in the range 15 to 90 degrees two-theta, by angle:
18.68 deg, I = 94, hkl 1 0 0
26.54 deg, I = 84, hkl 1 1 0
32.65 deg, I = 1000, hkl 1 1 1
37.88 deg, I = 502, hkl 2 0 0
42.56 deg, I = 51, hkl 2 1 0
46.85 deg, I = 40, hkl 2 1 1
54.65 deg, I = 344, hkl 2 2 0
65.13 deg, I = 403, hkl 3 1 1
68.42 deg, I = 116, hkl 2 2 2
80.96 deg, I = 55, hkl 4 0 0

Repeat the first record exactly.
TlInTe2: computed PXRD pattern (CuKα), based on a PBE-relaxed structure.
Kinematic intensities with the Lorentz-polarization factor, no thermal factor.

Crystal structure
a = 8.6985 Å, b = 8.6985 Å, c = 7.3317 Å
α = 90.00°, β = 90.00°, γ = 90.00°
Space group I4/mcm (No. 140)
Asymmetric unit:
1 Tl 0.0000 0.0000 0.2500 [4 per cell]
2 In 0.0000 0.5000 0.2500 [4 per cell]
3 Te 0.1791 0.3209 0.0000 [8 per cell]

Principal peaks in the range 15 to 90 degrees two-theta, by angle:
20.42 deg, I = 170, hkl 2 0 0
25.93 deg, I = 467, hkl 2 1 1
29.03 deg, I = 493, hkl 2 2 0
31.93 deg, I = 1000, hkl 2 0 2
32.55 deg, I = 147, hkl 3 1 0
44.70 deg, I = 168, hkl 4 1 1
46.70 deg, I = 190, hkl 4 2 0
48.68 deg, I = 187, hkl 4 0 2
53.32 deg, I = 175, hkl 4 2 2
73.55 deg, I = 167, hkl 6 2 2